(1)
# GaGe2As4
Calculated powder XRD pattern, λ = 1.5418 Å (Cu Kα). Input: a crystal structure in Alexandria, relaxed with GGA-PBE.

The 6 most intense peaks (2θ = 10–90°), in order of rising 2θ:
2theta  I/Imax
31.5  100.0
32.9  33.4
35.9  59.2
37.6  63.3
49.5  63.4
55.4  35.4

Structural model:
```
data_GaGe2As4
_space_group_name_H-M_alt 'I 4/m'
_space_group_IT_number 87
_space_group_name_Hall '-I 4'
_cell_length_a 7.0723
_cell_length_b 7.0723
_cell_length_c 6.4836
_cell_angle_alpha 90.00
_cell_angle_beta 90.00
_cell_angle_gamma 90.00
loop_
_atom_site_label
_atom_site_type_symbol
_atom_site_fract_x
_atom_site_fract_y
_atom_site_fract_z
Ga1 Ga 0.0000 0.0000 0.0000
Ge1 Ge 0.0000 0.5000 0.2500
As1 As 0.1840 0.6993 0.5000
```

=====

(2)
# Ga2Ni7AsH2
Calculated powder XRD pattern, λ = 1.5418 Å (Cu Kα). Input: a crystal structure in Alexandria, relaxed with GGA-PBE.

The 6 most intense peaks (2θ = 10–90°), in order of rising 2θ:
2theta  I/Imax
40.0  69.2
42.3  86.0
42.9  96.3
45.4  100.0
47.4  63.3
50.8  75.5

Structural model:
```
data_Ga2Ni7AsH2
_space_group_name_H-M_alt 'C 1 2/m 1'
_space_group_IT_number 12
_cell_length_a 5.0931
_cell_length_b 5.1115
_cell_length_c 9.6968
_cell_angle_alpha 90.00
_cell_angle_beta 98.40
_cell_angle_gamma 90.00
loop_
_space_group_symop_operation_xyz
'x,y,z'
'-x,-y,-z'
'-x,y,-z'
'x,-y,z'
'x+1/2,y+1/2,z'
'-x+1/2,-y+1/2,-z'
'-x+1/2,y+1/2,-z'
'x+1/2,-y+1/2,z'
loop_
_atom_site_label
_atom_site_type_symbol
_atom_site_fract_x
_atom_site_fract_y
_atom_site_fract_z
Ga1 Ga 0.1198 0.0000 0.3808
Ni1 Ni 0.0000 0.5000 0.0000
Ni2 Ni 0.1192 0.5000 0.3886
Ni3 Ni 0.1894 0.2481 0.8089
As1 As 0.0000 0.0000 0.0000
H1 H 0.0584 0.5000 0.1982
```

=====

(3)
# Hf4GaAs
Calculated powder XRD pattern, λ = 1.5418 Å (Cu Kα). Input: a crystal structure in Alexandria, relaxed with GGA-PBE.

The 6 most intense peaks (2θ = 10–90°), in order of rising 2θ:
2theta  I/Imax
34.7  100.0
38.8  17.6
43.3  26.7
43.5  15.3
60.6  20.3
69.9  15.1

Structural model:
```
data_Hf4GaAs
_space_group_name_H-M_alt 'P 4/m c c'
_space_group_IT_number 124
_space_group_name_Hall '-P 4 2c'
_cell_length_a 6.6084
_cell_length_b 6.6084
_cell_length_c 5.3551
_cell_angle_alpha 90.00
_cell_angle_beta 90.00
_cell_angle_gamma 90.00
loop_
_atom_site_label
_atom_site_type_symbol
_atom_site_fract_x
_atom_site_fract_y
_atom_site_fract_z
Hf1 Hf 0.1553 0.3453 0.0000
Ga1 Ga 0.0000 0.0000 0.2500
As1 As 0.5000 0.5000 0.2500
```

=====

(4)
# HfGaNiAs
Calculated powder XRD pattern, λ = 1.5418 Å (Cu Kα). Input: a crystal structure in Alexandria, relaxed with GGA-PBE.

The 6 most intense peaks (2θ = 10–90°), in order of rising 2θ:
2theta  I/Imax
29.0  82.1
34.5  37.9
38.2  100.0
46.8  38.7
47.5  71.7
62.5  23.1

Structural model:
```
data_HfGaNiAs
_space_group_name_H-M_alt 'R 3 m'
_space_group_IT_number 160
_space_group_name_Hall 'R 3 -2"'
_cell_length_a 3.8253
_cell_length_b 3.8253
_cell_length_c 16.7767
_cell_angle_alpha 90.00
_cell_angle_beta 90.00
_cell_angle_gamma 120.00
loop_
_atom_site_label
_atom_site_type_symbol
_atom_site_fract_x
_atom_site_fract_y
_atom_site_fract_z
Hf1 Hf 0.0000 0.0000 0.0000
Ga1 Ga 0.0000 0.0000 0.8049
Ni1 Ni 0.0000 0.0000 0.4182
As1 As 0.0000 0.0000 0.5641
```

=====

(5)
# Ho6Ga2AsSe3
Calculated powder XRD pattern, λ = 1.5418 Å (Cu Kα). Input: a crystal structure in Alexandria, relaxed with GGA-PBE.

The 6 most intense peaks (2θ = 10–90°), in order of rising 2θ:
2theta  I/Imax
27.0  17.8
30.9  100.0
43.2  37.9
45.2  35.4
55.8  18.5
74.5  15.4

Structural model:
```
data_Ho6Ga2AsSe3
_space_group_name_H-M_alt 'C 1 2/m 1'
_space_group_IT_number 12
_cell_length_a 18.1651
_cell_length_b 4.0096
_cell_length_c 8.3874
_cell_angle_alpha 90.00
_cell_angle_beta 106.87
_cell_angle_gamma 90.00
loop_
_space_group_symop_operation_xyz
'x,y,z'
'-x,-y,-z'
'-x,y,-z'
'x,-y,z'
'x+1/2,y+1/2,z'
'-x+1/2,-y+1/2,-z'
'-x+1/2,y+1/2,-z'
'x+1/2,-y+1/2,z'
loop_
_atom_site_label
_atom_site_type_symbol
_atom_site_fract_x
_atom_site_fract_y
_atom_site_fract_z
Ho1 Ho 0.0055 0.0000 0.2453
Ho2 Ho 0.1630 0.5000 0.5954
Ho3 Ho 0.1652 0.5000 0.0946
Ga1 Ga 0.1727 0.0000 0.3516
As1 As 0.0000 0.5000 0.0000
Se1 Se 0.0000 0.5000 0.5000
Se2 Se 0.1630 0.0000 0.8437
```

=====

(6)
# Pm4GaAsI2
Calculated powder XRD pattern, λ = 1.5418 Å (Cu Kα). Input: a crystal structure in Alexandria, relaxed with GGA-PBE.

The 6 most intense peaks (2θ = 10–90°), in order of rising 2θ:
2theta  I/Imax
28.5  100.0
39.6  19.6
41.6  13.3
41.8  26.2
51.2  13.0
68.3  10.8

Structural model:
```
data_Pm4GaAsI2
_space_group_name_H-M_alt 'P 1 2/m 1'
_space_group_IT_number 10
_cell_length_a 7.4675
_cell_length_b 4.3430
_cell_length_c 8.0117
_cell_angle_alpha 90.00
_cell_angle_beta 108.37
_cell_angle_gamma 90.00
loop_
_space_group_symop_operation_xyz
'x,y,z'
'-x,-y,-z'
'-x,y,-z'
'x,-y,z'
loop_
_atom_site_label
_atom_site_type_symbol
_atom_site_fract_x
_atom_site_fract_y
_atom_site_fract_z
Pm1 Pm 0.2309 0.0000 0.2012
Pm2 Pm 0.2653 0.5000 0.8020
Ga1 Ga 0.0000 0.5000 0.0000
As1 As 0.5000 0.0000 0.0000
I1 I 0.0000 0.0000 0.5000
I2 I 0.5000 0.5000 0.5000
```

=====

(7)
# InGa2As
Calculated powder XRD pattern, λ = 1.5418 Å (Cu Kα). Input: a crystal structure in Alexandria, relaxed with GGA-PBE.

The 6 most intense peaks (2θ = 10–90°), in order of rising 2θ:
2theta  I/Imax
25.7  100.0
40.4  28.8
43.7  48.3
48.5  32.9
54.2  12.3
75.8  16.2

Structural model:
```
data_InGa2As
_space_group_name_H-M_alt 'I -4 2 d'
_space_group_IT_number 122
_space_group_name_Hall 'I -4 2bw'
_cell_length_a 6.3174
_cell_length_b 6.3174
_cell_length_c 10.9618
_cell_angle_alpha 90.00
_cell_angle_beta 90.00
_cell_angle_gamma 90.00
loop_
_atom_site_label
_atom_site_type_symbol
_atom_site_fract_x
_atom_site_fract_y
_atom_site_fract_z
In1 In 0.0000 0.0000 0.0000
Ga1 Ga 0.2180 0.2500 0.6250
As1 As 0.0000 0.0000 0.5000
```

=====

Please write out number 7 again, unchanged.
# InGa2As
Calculated powder XRD pattern, λ = 1.5418 Å (Cu Kα). Input: a crystal structure in Alexandria, relaxed with GGA-PBE.

The 6 most intense peaks (2θ = 10–90°), in order of rising 2θ:
2theta  I/Imax
25.7  100.0
40.4  28.8
43.7  48.3
48.5  32.9
54.2  12.3
75.8  16.2

Structural model:
```
data_InGa2As
_space_group_name_H-M_alt 'I -4 2 d'
_space_group_IT_number 122
_space_group_name_Hall 'I -4 2bw'
_cell_length_a 6.3174
_cell_length_b 6.3174
_cell_length_c 10.9618
_cell_angle_alpha 90.00
_cell_angle_beta 90.00
_cell_angle_gamma 90.00
loop_
_atom_site_label
_atom_site_type_symbol
_atom_site_fract_x
_atom_site_fract_y
_atom_site_fract_z
In1 In 0.0000 0.0000 0.0000
Ga1 Ga 0.2180 0.2500 0.6250
As1 As 0.0000 0.0000 0.5000
```